The following is a simulated powder diffraction line list of CeNi8Au3. It was derived from DFT lattice parameters and positions (GGA-PBE), using Cu Kα.
Kinematic intensities with the Lorentz-polarization factor, no thermal factor.

Most intense lines, 2θ from 10° to 90°, low angle first:
Position (°2θ), I/Imax
36.54, 709
40.14, 968
43.29, 1000
44.02, 521
68.19, 396
70.43, 230
74.59, 259
77.65, 222

Cell and atoms:
```
CeNi8Au3
1.0
4.9188 0.0000 0.0000
-2.4594 4.2598 0.0000
0.0000 0.0000 7.9329
Ce Ni Au
1 8 3
Direct
0.0000 0.0000 0.0000 Ce
0.1664 0.3328 0.6797 Ni
0.1664 0.8336 0.6797 Ni
0.3333 0.6667 0.4280 Ni
0.3333 0.6667 0.9304 Ni
0.5021 0.0043 0.1844 Ni
0.5021 0.4979 0.1844 Ni
0.6672 0.8336 0.6797 Ni
0.9957 0.4979 0.1844 Ni
0.0000 0.0000 0.3858 Au
0.6667 0.3333 0.4901 Au
0.6667 0.3333 0.8569 Au
```

The following is a simulated powder diffraction line list of Li2Ag3Au2. It was derived from DFT lattice parameters and positions (GGA-PBE), using Cu Kα.
Kinematic intensities with the Lorentz-polarization factor, no thermal factor.

Most intense lines, 2θ from 10° to 90°, low angle first:
Position (°2θ), I/Imax
18.18, 200
18.55, 438
23.67, 374
37.65, 582
37.92, 626
37.95, 519
38.93, 479
44.31, 1000

Cell and atoms:
```
Li2Ag3Au2
1.0
4.9270 0.0000 0.0000
-0.7186 4.9665 0.0000
-0.8373 -0.9587 4.8923
Li Ag Au
2 3 2
Direct
0.0908 0.1635 0.3045 Li
0.9092 0.8365 0.6955 Li
0.2142 0.4348 0.8565 Ag
0.5000 0.0000 0.0000 Ag
0.7858 0.5652 0.1435 Ag
0.3473 0.7236 0.4286 Au
0.6527 0.2764 0.5714 Au
```

The following is a simulated powder diffraction line list of U2MnGe. It was derived from DFT lattice parameters and positions (GGA-PBE), using Cu Kα.
Kinematic intensities with the Lorentz-polarization factor, no thermal factor.

Most intense lines, 2θ from 10° to 90°, low angle first:
Position (°2θ), I/Imax
20.32, 338
31.29, 244
37.60, 1000
41.32, 193
44.84, 306
62.60, 230
72.88, 150
77.85, 253

Cell and atoms:
```
U2MnGe
1.0
4.0429 0.0000 0.0000
0.0000 4.0429 0.0000
0.0000 0.0000 4.3701
U Mn Ge
2 1 1
Direct
0.0000 0.5000 0.0000 U
0.5000 0.0000 0.0000 U
0.0000 0.0000 0.5000 Mn
0.5000 0.5000 0.5000 Ge
```

The following is a simulated powder diffraction line list of Rb3Sb4Au4. It was derived from DFT lattice parameters and positions (GGA-PBE), using Cu Kα.
Kinematic intensities with the Lorentz-polarization factor, no thermal factor.

Most intense lines, 2θ from 10° to 90°, low angle first:
Position (°2θ), I/Imax
16.90, 370
28.16, 1000
28.53, 329
33.52, 448
35.18, 230
37.14, 339
41.86, 425
50.88, 275

Cell and atoms:
```
Rb3Sb4Au4
1.0
-2.4210 2.6734 13.5038
2.4210 -2.6734 13.5038
2.4210 2.6734 -13.5038
Rb Sb Au
3 4 4
Direct
0.0000 0.0000 0.0000 Rb
0.1492 0.6492 0.5000 Rb
0.8508 0.3508 0.5000 Rb
0.2985 0.7985 0.5000 Sb
0.4468 0.4468 0.0000 Sb
0.5532 0.5532 0.0000 Sb
0.7015 0.2015 0.5000 Sb
0.2501 0.2501 0.0000 Au
0.4002 0.9002 0.5000 Au
0.5998 0.0998 0.5000 Au
0.7499 0.7499 0.0000 Au
```

The following is a simulated powder diffraction line list of Nb13Re2. It was derived from DFT lattice parameters and positions (GGA-PBE), using Cu Kα.
Kinematic intensities with the Lorentz-polarization factor, no thermal factor.

Most intense lines, 2θ from 10° to 90°, low angle first:
Position (°2θ), I/Imax
12.42, 284
38.24, 905
38.36, 1000
38.81, 865
39.60, 719
39.71, 669
39.82, 630
72.81, 264

Cell and atoms:
```
Nb13Re2
1.0
5.4795 0.0000 0.0000
0.8830 7.0981 0.0000
0.9020 0.9456 7.1278
Nb Re
13 2
Direct
0.0000 0.0000 0.0000 Nb
0.0044 0.2437 0.2589 Nb
0.1322 0.6224 0.1291 Nb
0.2509 0.4935 0.5037 Nb
0.3673 0.3678 0.8742 Nb
0.3702 0.8773 0.3742 Nb
0.4895 0.7618 0.7630 Nb
0.5105 0.2382 0.2370 Nb
0.6298 0.1227 0.6258 Nb
0.6327 0.6322 0.1258 Nb
0.7491 0.5065 0.4963 Nb
0.8678 0.3776 0.8709 Nb
0.9956 0.7563 0.7411 Nb
0.1291 0.1262 0.6152 Re
0.8709 0.8738 0.3848 Re
```

The following is a simulated powder diffraction line list of PrDySc2Hg4. It was derived from DFT lattice parameters and positions (GGA-PBE), using Cu Kα.
Kinematic intensities with the Lorentz-polarization factor, no thermal factor.

Most intense lines, 2θ from 10° to 90°, low angle first:
Position (°2θ), I/Imax
24.25, 275
34.44, 998
34.68, 1000
49.68, 356
61.55, 176
62.01, 367
62.16, 186
83.46, 164

Cell and atoms:
```
PrDySc2Hg4
1.0
2.5865 1.4933 8.5323
-2.5865 1.4933 8.5323
0.0000 -2.9866 8.5323
Pr Dy Sc Hg
1 1 2 4
Direct
0.0000 0.0000 0.0000 Pr
0.5000 0.5000 0.5000 Dy
0.2492 0.2492 0.2492 Sc
0.7508 0.7508 0.7508 Sc
0.1278 0.1278 0.1278 Hg
0.3790 0.3790 0.3790 Hg
0.6210 0.6210 0.6210 Hg
0.8722 0.8722 0.8722 Hg
```

The following is a simulated powder diffraction line list of Nb3AlSnMo3. It was derived from DFT lattice parameters and positions (GGA-PBE), using Cu Kα.
Kinematic intensities with the Lorentz-polarization factor, no thermal factor.

Most intense lines, 2θ from 10° to 90°, low angle first:
Position (°2θ), I/Imax
34.79, 259
39.05, 1000
42.95, 568
62.36, 92
65.21, 221
68.00, 291
73.43, 128
86.44, 149

Cell and atoms:
```
Nb3AlSnMo3
1.0
3.6489 2.1067 2.9754
-3.6489 2.1067 2.9754
0.0000 -4.2134 2.9754
Nb Al Sn Mo
3 1 1 3
Direct
0.0847 0.5863 0.3290 Nb
0.3290 0.0847 0.5863 Nb
0.5863 0.3290 0.0847 Nb
0.0832 0.0832 0.0832 Al
0.5875 0.5875 0.5875 Sn
0.0858 0.5854 0.8408 Mo
0.5854 0.8408 0.0858 Mo
0.8408 0.0858 0.5854 Mo
```

The following is a simulated powder diffraction line list of Pr3YSi4. It was derived from DFT lattice parameters and positions (GGA-PBE), using Cu Kα.
Kinematic intensities with the Lorentz-polarization factor, no thermal factor.

Most intense lines, 2θ from 10° to 90°, low angle first:
Position (°2θ), I/Imax
21.70, 317
27.63, 1000
28.32, 219
33.77, 155
34.89, 211
36.15, 153
49.72, 189
52.21, 175

Cell and atoms:
```
Pr3YSi4
1.0
-2.1231 3.1511 8.0786
2.1231 -3.1511 8.0786
2.1231 3.1511 -8.0786
Pr Y Si
3 1 4
Direct
0.0000 0.0000 0.0000 Pr
0.3060 0.8060 0.5000 Pr
0.6940 0.1940 0.5000 Pr
0.5000 0.5000 0.0000 Y
0.0555 0.3706 0.6849 Si
0.3143 0.6294 0.6849 Si
0.6857 0.3706 0.3151 Si
0.9445 0.6294 0.3151 Si
```